Computed powder diffraction line list of Na3AsSe3 for Cu Kα, 1.54184 Å, from a cell relaxed with GGA-PBE.
Intensities are scaled so that the largest is 100.

Cell and atoms:
a b c (Å): 11.476 4.955 13.033
angles (deg): 90.00 90.00 90.00
Fractional coordinates of all 28 atoms:
Na: 0.044 0.250 0.106
Na: 0.155 0.750 0.493
Na: 0.234 0.750 0.786
Na: 0.266 0.250 0.286
Na: 0.345 0.250 0.993
Na: 0.456 0.750 0.606
Na: 0.544 0.250 0.394
Na: 0.655 0.750 0.007
Na: 0.734 0.750 0.714
Na: 0.766 0.250 0.214
Na: 0.845 0.250 0.507
Na: 0.956 0.750 0.894
As: 0.060 0.250 0.698
As: 0.440 0.750 0.198
As: 0.560 0.250 0.802
As: 0.940 0.750 0.302
Se: 0.016 0.250 0.340
Se: 0.115 0.250 0.884
Se: 0.248 0.750 0.118
Se: 0.252 0.250 0.618
Se: 0.385 0.750 0.384
Se: 0.484 0.750 0.840
Se: 0.516 0.250 0.160
Se: 0.615 0.250 0.616
Se: 0.748 0.750 0.382
Se: 0.752 0.250 0.882
Se: 0.885 0.750 0.116
Se: 0.984 0.750 0.660

Main lines, most intense first (10 to 90 degrees two-theta):
2θ = 36.26°, I = 100, hkl 0 2 0; 2θ = 23.73°, I = 70, hkl 2 1 0; 2θ = 31.52°, I = 70, hkl 2 1 3; 2θ = 45.96°, I = 69, hkl 3 1 5; 2θ = 16.88°, I = 64, hkl 2 0 1; 2θ = 27.35°, I = 56, hkl 0 0 4; 2θ = 31.16°, I = 55, hkl 3 0 3; 2θ = 36.19°, I = 55, hkl 4 1 0; 2θ = 35.31°, I = 48, hkl 1 0 5; 2θ = 30.31°, I = 41, hkl 3 1 1; 2θ = 13.59°, I = 38, hkl 0 0 2; 2θ = 19.16°, I = 38, hkl 0 1 1